The following is a computed powder XRD pattern of LiCa4Al. It was derived from a GGA-PBE-relaxed structure, using Cu Kα.

Peak list (8 most intense, 2θ = 15–90°, most intense first)
| d [Å] | I/Imax |
| --- | --- |
| 3.832 | 100 |
| 2.727 | 89 |
| 2.692 | 74 |
| 1.916 | 25 |
| 1.568 | 25 |
| 2.222 | 21 |
| 1.722 | 17 |
| 1.574 | 15 |

Structural model:
```
data_LiCa4Al
_space_group_name_H-M_alt 'P 1'
_space_group_IT_number 1
_space_group_name_Hall 'P 1'
_cell_length_a 9.288
_cell_length_b 9.288
_cell_length_c 9.288
_cell_angle_alpha 34.15
_cell_angle_beta 34.15
_cell_angle_gamma 34.15
loop_
_atom_site_label
_atom_site_fract_x
_atom_site_fract_y
_atom_site_fract_z
Li1 0.000 0.000 0.000
Ca1 0.134 0.134 0.134
Ca2 0.382 0.382 0.382
Ca3 0.618 0.618 0.618
Ca4 0.866 0.866 0.866
Al1 0.500 0.500 0.500
```